Starting from a PBE+U-relaxed structure, the XRD peak list of Na3Mn2P2C2O14 was simulated for CuKα.
No peak broadening, texture or thermal motion is included.

Principal peaks in the range 10° ≤ 2θ ≤ 80°, by angle:
- 2θ 16.54, I 526
- 2θ 16.89, I 532
- 2θ 25.90, I 832
- 2θ 27.12, I 1000
- 2θ 34.20, I 416
- 2θ 34.55, I 614

Structure:
a b c (Å): 6.578 8.981 10.387
angles (deg): 91.49 90.38 91.24
Fractional positions:
Na 0.005 0.240 0.131
Na 0.025 0.242 0.628
Na 0.487 0.239 0.125
Na 0.513 0.761 0.875
Na 0.975 0.758 0.372
Na 0.995 0.760 0.869
Mn 0.256 0.654 0.146
Mn 0.257 0.652 0.638
Mn 0.743 0.348 0.362
Mn 0.744 0.346 0.854
P 0.246 0.428 0.390
P 0.249 0.426 0.897
P 0.751 0.574 0.103
P 0.754 0.572 0.610
C 0.247 0.923 0.116
C 0.254 0.922 0.615
C 0.746 0.078 0.385
C 0.753 0.077 0.884
O 0.058 0.327 0.355
O 0.061 0.327 0.860
O 0.238 0.577 0.319
O 0.240 0.060 0.101
O 0.242 0.463 0.046
O 0.242 0.466 0.537
O 0.247 0.059 0.605
O 0.249 0.859 0.227
O 0.251 0.824 0.518
O 0.253 0.574 0.824
O 0.253 0.824 0.019
O 0.264 0.853 0.727
O 0.432 0.336 0.350
O 0.436 0.330 0.871
O 0.564 0.670 0.129
O 0.568 0.664 0.650
O 0.736 0.147 0.273
O 0.747 0.176 0.981
O 0.747 0.426 0.176
O 0.749 0.176 0.482
O 0.751 0.141 0.773
O 0.753 0.941 0.395
O 0.758 0.534 0.463
O 0.758 0.537 0.954
O 0.760 0.940 0.899
O 0.762 0.423 0.681
O 0.939 0.673 0.140
O 0.942 0.673 0.645

***

Starting from a PBE+U-relaxed structure, the XRD peak list of VS2O8 was simulated for CuKα.
No peak broadening, texture or thermal motion is included.

Principal peaks in the range 10° ≤ 2θ ≤ 80°, by angle:
- 2θ 12.83, I 168
- 2θ 14.55, I 498
- 2θ 20.04, I 217
- 2θ 24.37, I 1000
- 2θ 29.34, I 276
- 2θ 32.13, I 281

Structure:
a b c (Å): 8.893 8.893 8.893
angles (deg): 56.20 56.20 56.20
Fractional positions:
V 0.000 0.000 0.000
V 0.208 0.208 0.208
V 0.497 0.497 0.497
S 0.107 0.382 0.817
S 0.322 0.891 0.596
S 0.382 0.817 0.107
S 0.596 0.322 0.891
S 0.817 0.107 0.382
S 0.891 0.596 0.322
O 0.084 0.455 0.229
O 0.137 0.193 0.831
O 0.174 0.878 0.793
O 0.178 0.336 0.966
O 0.193 0.831 0.137
O 0.229 0.084 0.455
O 0.256 0.450 0.625
O 0.336 0.966 0.178
O 0.341 0.734 0.557
O 0.450 0.625 0.256
O 0.455 0.229 0.084
O 0.501 0.886 0.563
O 0.521 0.844 0.916
O 0.557 0.341 0.734
O 0.563 0.501 0.886
O 0.625 0.256 0.450
O 0.734 0.557 0.341
O 0.793 0.174 0.878
O 0.831 0.137 0.193
O 0.844 0.916 0.521
O 0.878 0.793 0.174
O 0.886 0.563 0.501
O 0.916 0.521 0.844
O 0.966 0.178 0.336

***

Starting from a PBE+U-relaxed structure, the XRD peak list of Li9Mn7O16 was simulated for CuKα.
No peak broadening, texture or thermal motion is included.

Principal peaks in the range 10° ≤ 2θ ≤ 80°, by angle:
- 2θ 18.25, I 1000
- 2θ 33.99, I 189
- 2θ 36.17, I 116
- 2θ 36.33, I 126
- 2θ 40.83, I 357
- 2θ 44.20, I 550

Structure:
a b c (Å): 5.050 6.059 9.933
angles (deg): 86.36 78.59 86.98
Fractional positions:
Li 0.000 0.000 0.000
Li 0.244 0.243 0.755
Li 0.245 0.754 0.753
Li 0.247 0.004 0.248
Li 0.247 0.498 0.247
Li 0.753 0.502 0.753
Li 0.753 0.996 0.752
Li 0.755 0.246 0.247
Li 0.756 0.757 0.245
Mn 0.000 0.251 0.501
Mn 0.000 0.500 0.000
Mn 0.000 0.749 0.499
Mn 0.500 0.000 0.500
Mn 0.500 0.241 0.999
Mn 0.500 0.500 0.500
Mn 0.500 0.759 0.001
O 0.131 0.723 0.105
O 0.136 0.264 0.113
O 0.137 0.016 0.619
O 0.139 0.516 0.617
O 0.361 0.734 0.383
O 0.362 0.233 0.384
O 0.363 0.494 0.889
O 0.396 0.000 0.885
O 0.604 0.000 0.115
O 0.637 0.506 0.111
O 0.638 0.767 0.616
O 0.639 0.266 0.617
O 0.861 0.484 0.383
O 0.863 0.984 0.381
O 0.864 0.736 0.887
O 0.869 0.277 0.895

***

Starting from a PBE+U-relaxed structure, the XRD peak list of NdNiO3 was simulated for CuKα.
No peak broadening, texture or thermal motion is included.

Principal peaks in the range 10° ≤ 2θ ≤ 80°, by angle:
- 2θ 23.04, I 191
- 2θ 32.59, I 215
- 2θ 32.82, I 1000
- 2θ 32.98, I 248
- 2θ 47.04, I 241
- 2θ 58.78, I 325

Structure:
a b c (Å): 5.496 7.709 5.432
angles (deg): 90.00 90.00 90.00
Fractional positions:
Nd 0.047 0.250 0.011
Nd 0.453 0.750 0.511
Nd 0.547 0.250 0.489
Nd 0.953 0.750 0.989
Ni 0.000 0.000 0.500
Ni 0.000 0.500 0.500
Ni 0.500 0.000 0.000
Ni 0.500 0.500 0.000
O 0.014 0.750 0.421
O 0.212 0.543 0.786
O 0.212 0.957 0.786
O 0.288 0.043 0.286
O 0.288 0.457 0.286
O 0.486 0.250 0.921
O 0.514 0.750 0.079
O 0.712 0.543 0.714
O 0.712 0.957 0.714
O 0.788 0.043 0.214
O 0.788 0.457 0.214
O 0.986 0.250 0.579

***

Starting from a PBE+U-relaxed structure, the XRD peak list of LiFePH12O10 was simulated for CuKα.
No peak broadening, texture or thermal motion is included.

Principal peaks in the range 10° ≤ 2θ ≤ 80°, by angle:
- 2θ 15.17, I 393
- 2θ 16.42, I 476
- 2θ 16.70, I 342
- 2θ 21.07, I 1000
- 2θ 27.92, I 234
- 2θ 30.62, I 242

Structure:
a b c (Å): 6.943 6.096 10.798
angles (deg): 90.00 90.00 90.00
Fractional positions:
Li 0.000 0.038 0.000
Li 0.500 0.962 0.500
Fe 0.000 0.113 0.294
Fe 0.500 0.887 0.794
P 0.000 0.487 0.675
P 0.500 0.513 0.175
H 0.000 0.661 0.328
H 0.000 0.762 0.467
H 0.118 0.512 0.171
H 0.164 0.673 0.865
H 0.185 0.870 0.639
H 0.211 0.275 0.484
H 0.249 0.877 0.149
H 0.251 0.123 0.649
H 0.289 0.725 0.984
H 0.315 0.130 0.139
H 0.336 0.327 0.365
H 0.382 0.488 0.671
H 0.500 0.238 0.967
H 0.500 0.339 0.828
H 0.618 0.488 0.671
H 0.664 0.327 0.365
H 0.685 0.130 0.139
H 0.711 0.725 0.984
H 0.749 0.123 0.649
H 0.751 0.877 0.149
H 0.789 0.275 0.484
H 0.815 0.870 0.639
H 0.836 0.673 0.865
H 0.882 0.512 0.171
O 0.000 0.454 0.215
O 0.000 0.494 0.817
O 0.000 0.727 0.622
O 0.000 0.799 0.377
O 0.184 0.370 0.624
O 0.196 0.032 0.144
O 0.248 0.792 0.903
O 0.252 0.208 0.403
O 0.304 0.968 0.644
O 0.316 0.630 0.124
O 0.500 0.201 0.877
O 0.500 0.273 0.122
O 0.500 0.506 0.317
O 0.500 0.546 0.715
O 0.684 0.630 0.124
O 0.696 0.968 0.644
O 0.748 0.208 0.403
O 0.752 0.792 0.903
O 0.804 0.032 0.144
O 0.816 0.370 0.624

***

Starting from a PBE+U-relaxed structure, the XRD peak list of V4O5F7 was simulated for CuKα.
No peak broadening, texture or thermal motion is included.

Principal peaks in the range 10° ≤ 2θ ≤ 80°, by angle:
- 2θ 23.61, I 1000
- 2θ 23.94, I 493
- 2θ 33.51, I 123
- 2θ 48.20, I 113
- 2θ 49.02, I 103
- 2θ 54.12, I 143

Structure:
a b c (Å): 5.285 5.348 9.049
angles (deg): 105.65 90.33 119.55
Fractional positions:
V 0.000 0.000 0.000
V 0.217 0.501 0.767
V 0.442 0.977 0.496
V 0.705 0.455 0.250
O 0.046 0.223 0.888
O 0.085 0.725 0.849
O 0.085 0.737 0.426
O 0.406 0.237 0.109
O 0.540 0.226 0.393
F 0.412 0.231 0.678
F 0.455 0.739 0.634
F 0.574 0.719 0.928
F 0.578 0.741 0.355
F 0.904 0.228 0.182
F 0.911 0.225 0.594
F 0.944 0.735 0.136

***

Starting from a PBE+U-relaxed structure, the XRD peak list of Li2V3O6 was simulated for CuKα.
No peak broadening, texture or thermal motion is included.

Principal peaks in the range 10° ≤ 2θ ≤ 80°, by angle:
- 2θ 17.91, I 1000
- 2θ 35.18, I 227
- 2θ 42.37, I 474
- 2θ 43.32, I 219
- 2θ 61.87, I 118
- 2θ 62.53, I 121

Structure:
a b c (Å): 5.169 5.169 5.203
angles (deg): 98.75 98.75 120.42
Fractional positions:
Li 0.168 0.832 0.000
Li 0.832 0.168 0.000
V 0.000 0.000 0.500
V 0.333 0.667 0.500
V 0.667 0.333 0.500
O 0.058 0.394 0.719
O 0.242 0.242 0.286
O 0.394 0.058 0.719
O 0.606 0.942 0.281
O 0.758 0.758 0.714
O 0.942 0.606 0.281

***

Starting from a PBE+U-relaxed structure, the XRD peak list of BaPrMgCo2O6 was simulated for CuKα.
No peak broadening, texture or thermal motion is included.

Principal peaks in the range 10° ≤ 2θ ≤ 80°, by angle:
- 2θ 32.29, I 480
- 2θ 32.41, I 1000
- 2θ 32.62, I 512
- 2θ 32.82, I 516
- 2θ 35.03, I 501
- 2θ 45.01, I 439

Structure:
a b c (Å): 3.742 4.028 9.765
angles (deg): 101.84 96.51 90.34
Fractional positions:
Ba 0.000 0.000 0.000
Pr 0.913 0.791 0.609
Mg 0.588 0.615 0.236
Co 0.149 0.169 0.361
Co 0.447 0.397 0.800
O 0.114 0.672 0.345
O 0.355 0.295 0.559
O 0.443 0.885 0.774
O 0.507 0.509 0.022
O 0.623 0.130 0.263
O 0.937 0.384 0.771